# 1
This entry pairs a crystal structure of LiV2OF7 with its computed powder diffractogram. Radiation: CuKα. Structure: a structure optimized by DFT (GGA+U).
Peak positions follow from Bragg's law for the DFT cell and can differ from measured ones.

Structural model:
Unit cell a=5.738 b=5.661 c=10.725 alpha=90.00 beta=102.87 gamma=90.00
Sites, in units of the cell vectors:
1 Li 0.000 0.122 0.000
2 Li 0.000 0.878 0.500
3 V 0.303 0.499 0.321
4 V 0.303 0.501 0.821
5 V 0.565 0.014 0.695
6 V 0.565 0.986 0.195
7 O 0.394 0.222 0.761
8 O 0.394 0.778 0.261
9 F 0.074 0.357 0.204
10 F 0.074 0.643 0.704
11 F 0.087 0.400 0.911
12 F 0.087 0.600 0.411
13 F 0.320 0.009 0.045
14 F 0.320 0.991 0.545
15 F 0.519 0.314 0.227
16 F 0.519 0.686 0.727
17 F 0.521 0.431 0.461
18 F 0.521 0.569 0.961
19 F 0.787 0.040 0.599
20 F 0.787 0.960 0.099
21 F 0.812 0.010 0.843
22 F 0.812 0.990 0.343

Most intense lines, 15° ≤ 2θ ≤ 90°, by intensity:
hkl	Position (°2θ)	Rel. int.
1 1 -2	25.90	100
1 1 0	22.34	82
0 1 2	23.16	70
1 0 0	15.84	61
0 0 2	16.96	49
0 2 0	31.61	34


# 2
This entry pairs a crystal structure of Li2VO2F with its computed powder diffractogram. Radiation: CuKα. Structure: a structure optimized by DFT (GGA+U).
Peak positions follow from Bragg's law for the DFT cell and can differ from measured ones.

Structural model:
Unit cell a=2.954 b=5.965 c=6.669 alpha=103.04 beta=102.45 gamma=90.11
Sites, in units of the cell vectors:
1 Li 0.000 0.225 0.001
2 Li 0.000 0.775 0.999
3 Li 0.332 0.927 0.666
4 Li 0.668 0.073 0.334
5 V 0.336 0.407 0.662
6 V 0.664 0.593 0.338
7 O 0.160 0.352 0.334
8 O 0.161 0.814 0.326
9 O 0.839 0.186 0.674
10 O 0.840 0.648 0.666
11 F 0.500 0.000 0.000
12 F 0.500 0.500 0.000

Most intense lines, 15° ≤ 2θ ≤ 90°, by intensity:
hkl	Position (°2θ)	Rel. int.
0 1 0	15.27	100
1 2 -1	43.10	97
0 0 3	42.82	50
0 1 1	23.06	50
1 2 -4	62.52	26
1 2 2	62.30	25


# 3
This entry pairs a crystal structure of Li3V2O4F2 with its computed powder diffractogram. Radiation: CuKα. Structure: a structure optimized by DFT (GGA+U).
Peak positions follow from Bragg's law for the DFT cell and can differ from measured ones.

Structural model:
Unit cell a=5.140 b=8.952 c=7.375 alpha=90.00 beta=91.51 gamma=90.00
Sites, in units of the cell vectors:
1 Li 0.000 0.000 0.000
2 Li 0.140 0.178 0.720
3 Li 0.140 0.822 0.720
4 Li 0.426 0.500 0.004
5 Li 0.600 0.333 0.740
6 Li 0.600 0.667 0.740
7 Li 0.606 0.000 0.766
8 Li 0.971 0.334 0.996
9 Li 0.971 0.666 0.996
10 V 0.286 0.000 0.356
11 V 0.292 0.334 0.363
12 V 0.292 0.666 0.363
13 V 0.784 0.167 0.362
14 V 0.784 0.833 0.362
15 V 0.797 0.500 0.374
16 O 0.119 0.167 0.217
17 O 0.119 0.833 0.217
18 O 0.130 0.500 0.216
19 O 0.445 0.168 0.510
20 O 0.445 0.832 0.510
21 O 0.456 0.500 0.511
22 O 0.601 0.000 0.229
23 O 0.607 0.339 0.228
24 O 0.607 0.661 0.228
25 O 0.971 0.000 0.499
26 O 0.976 0.328 0.504
27 O 0.976 0.672 0.504
28 F 0.266 0.000 0.833
29 F 0.286 0.334 0.867
30 F 0.286 0.666 0.867
31 F 0.761 0.500 0.883
32 F 0.811 0.168 0.852
33 F 0.811 0.832 0.852

Most intense lines, 15° ≤ 2θ ≤ 90°, by intensity:
hkl	Position (°2θ)	Rel. int.
1 3 2	43.05	100
0 0 2	24.14	88
2 0 -2	42.35	49
1 3 0	34.77	44
0 6 0	62.25	27
3 3 0	62.53	26


# 4
This entry pairs a crystal structure of LiV4OF11 with its computed powder diffractogram. Radiation: CuKα. Structure: a structure optimized by DFT (GGA+U).
Peak positions follow from Bragg's law for the DFT cell and can differ from measured ones.

Structural model:
Unit cell a=5.205 b=5.508 c=17.268 alpha=83.39 beta=81.44 gamma=61.93
Sites, in units of the cell vectors:
1 Li 0.000 0.000 0.000
2 Li 0.136 0.086 0.628
3 V 0.031 0.080 0.819
4 V 0.186 0.204 0.444
5 V 0.296 0.341 0.065
6 V 0.416 0.459 0.689
7 V 0.555 0.585 0.318
8 V 0.688 0.726 0.933
9 V 0.770 0.848 0.558
10 V 0.924 0.961 0.193
11 O 0.388 0.059 0.534
12 O 0.887 0.934 0.908
13 F 0.107 0.786 0.747
14 F 0.147 0.173 0.155
15 F 0.158 0.797 0.280
16 F 0.183 0.631 0.601
17 F 0.197 0.236 0.718
18 F 0.222 0.658 0.124
19 F 0.347 0.037 0.002
20 F 0.391 0.434 0.406
21 F 0.448 0.861 0.847
22 F 0.454 0.508 0.977
23 F 0.478 0.908 0.373
24 F 0.618 0.686 0.657
25 F 0.628 0.280 0.248
26 F 0.633 0.306 0.780
27 F 0.713 0.747 0.222
28 F 0.714 0.112 0.092
29 F 0.739 0.150 0.628
30 F 0.864 0.512 0.504
31 F 0.895 0.559 0.032
32 F 0.946 0.375 0.349
33 F 0.963 0.985 0.471
34 F 0.990 0.390 0.878

Most intense lines, 15° ≤ 2θ ≤ 90°, by intensity:
hkl	Position (°2θ)	Rel. int.
1 0 3	23.64	100
0 1 3	23.48	50
1 -1 0	32.57	22
2 0 6	48.36	19
1 3 4	52.87	15
2 -1 3	53.10	15


Q: Number 3 is which compound?
A: Li3V2O4F2


Repeat the third record exactly.
This entry pairs a crystal structure of Li3V2O4F2 with its computed powder diffractogram. Radiation: CuKα. Structure: a structure optimized by DFT (GGA+U).
Peak positions follow from Bragg's law for the DFT cell and can differ from measured ones.

Structural model:
Unit cell a=5.140 b=8.952 c=7.375 alpha=90.00 beta=91.51 gamma=90.00
Sites, in units of the cell vectors:
1 Li 0.000 0.000 0.000
2 Li 0.140 0.178 0.720
3 Li 0.140 0.822 0.720
4 Li 0.426 0.500 0.004
5 Li 0.600 0.333 0.740
6 Li 0.600 0.667 0.740
7 Li 0.606 0.000 0.766
8 Li 0.971 0.334 0.996
9 Li 0.971 0.666 0.996
10 V 0.286 0.000 0.356
11 V 0.292 0.334 0.363
12 V 0.292 0.666 0.363
13 V 0.784 0.167 0.362
14 V 0.784 0.833 0.362
15 V 0.797 0.500 0.374
16 O 0.119 0.167 0.217
17 O 0.119 0.833 0.217
18 O 0.130 0.500 0.216
19 O 0.445 0.168 0.510
20 O 0.445 0.832 0.510
21 O 0.456 0.500 0.511
22 O 0.601 0.000 0.229
23 O 0.607 0.339 0.228
24 O 0.607 0.661 0.228
25 O 0.971 0.000 0.499
26 O 0.976 0.328 0.504
27 O 0.976 0.672 0.504
28 F 0.266 0.000 0.833
29 F 0.286 0.334 0.867
30 F 0.286 0.666 0.867
31 F 0.761 0.500 0.883
32 F 0.811 0.168 0.852
33 F 0.811 0.832 0.852

Most intense lines, 15° ≤ 2θ ≤ 90°, by intensity:
hkl	Position (°2θ)	Rel. int.
1 3 2	43.05	100
0 0 2	24.14	88
2 0 -2	42.35	49
1 3 0	34.77	44
0 6 0	62.25	27
3 3 0	62.53	26